No. 1
Li4V3CrO8: simulated X-ray powder pattern (Cu Kα (weighted mean of Kα1 and Kα2)), based on a structure optimized by DFT (PBE+U).
Kinematic intensities with the Lorentz-polarization factor, no thermal factor.

Principal peaks in the range 5 to 70 degrees two-theta, in order of falling intensity:
d = 4.893 Å, I = 100
d = 2.108 Å, I = 88
d = 2.537 Å, I = 41
d = 1.487 Å, I = 24
d = 1.494 Å, I = 23
d = 1.423 Å, I = 14
d = 1.626 Å, I = 14
d = 1.936 Å, I = 13
d = 2.430 Å, I = 10
d = 2.446 Å, I = 4

Structural model:
```
16
Lattice="5.1846 0.0000 0.0000 1.7045 5.6975 0.0000 0.0013 3.1026 5.0751" Properties=species:S:1:pos:R:3 pbc="T T T"
Li 1.7056 6.4561 1.2434
Li 5.1849 2.3440 3.8317
Li 0.8527 5.1618 3.8176
Li 6.0378 3.6383 1.2575
V 2.5930 1.5513 2.5376
V 3.4446 2.8487 0.0000
V 3.4452 4.4001 2.5376
Cr 2.5923 0.0000 0.0000
O 1.8049 1.7699 0.6539
O 1.8134 3.3452 3.2019
O 2.6712 4.6396 0.6377
O 2.6826 6.1821 3.1927
O 4.2079 2.6181 1.8824
O 4.2193 4.1605 4.4374
O 5.0771 5.4549 1.8732
O 5.0856 7.0303 4.4212
```

=====

No. 2
Li3V2CrO6: simulated X-ray powder pattern (Cu Kα (weighted mean of Kα1 and Kα2)), based on a structure optimized by DFT (PBE+U).
Kinematic intensities with the Lorentz-polarization factor, no thermal factor.

Principal peaks in the range 5 to 70 degrees two-theta, in order of falling intensity:
d = 4.907 Å, I = 100
d = 2.109 Å, I = 86
d = 2.535 Å, I = 40
d = 1.486 Å, I = 23
d = 1.498 Å, I = 16
d = 2.430 Å, I = 10
d = 1.627 Å, I = 9
d = 1.940 Å, I = 9
d = 1.423 Å, I = 9
d = 1.494 Å, I = 8

Structural model:
```
12
Lattice="6.5285 -1.4867 0.0000 6.5285 1.4867 0.0000 -1.4386 0.0000 5.8012" Properties=species:S:1:pos:R:3 pbc="T T T"
Li 0.0000 0.0000 0.0000
Li 3.4284 0.0000 3.8727
Li 8.1901 0.0000 1.9286
V 4.1187 0.0000 0.9664
V 7.4998 0.0000 4.8349
Cr -0.7193 0.0000 2.9006
O 1.2489 0.0000 3.4550
O 2.1105 0.0000 0.4103
O 6.1086 0.0000 1.5458
O 5.5099 0.0000 4.2554
O 9.5080 0.0000 5.3910
O 10.3695 0.0000 2.3463
```

=====

No. 3
LiVCrO4: simulated X-ray powder pattern (Cu Kα (weighted mean of Kα1 and Kα2)), based on a structure optimized by DFT (PBE+U).
Kinematic intensities with the Lorentz-polarization factor, no thermal factor.

Principal peaks in the range 5 to 70 degrees two-theta, in order of falling intensity:
d = 4.813 Å, I = 100
d = 4.866 Å, I = 80
d = 2.129 Å, I = 40
d = 2.115 Å, I = 40
d = 2.045 Å, I = 35
d = 1.475 Å, I = 19
d = 1.470 Å, I = 19
d = 2.479 Å, I = 14
d = 2.557 Å, I = 12
d = 2.568 Å, I = 12

Structural model:
```
14
Lattice="4.2316 -4.0895 0.0000 4.2316 4.0895 0.0000 -4.1588 0.0000 4.2580" Properties=species:S:1:pos:R:3 pbc="T T T"
Li 0.0000 0.0000 0.0000
Li -2.0794 0.0000 2.1290
V 4.2316 0.0000 0.0000
V 2.1522 0.0000 2.1290
Cr 2.1158 2.0448 0.0000
Cr 0.0364 -2.0448 2.1290
O 2.2020 0.0503 0.0983
O 2.2579 1.9030 2.0116
O 4.1259 1.9030 0.1174
O 0.1226 -0.0503 2.2273
O 4.1818 0.0503 2.0307
O 0.1785 -1.9030 4.1406
O 2.0465 -1.9030 2.2464
O 2.1024 -0.0503 4.1596
```